# TcMo4P
Computed powder X-ray diffraction pattern, λ = 1.5418 Å (Cu Kα). Input: a crystal structure in Alexandria, relaxed with GGA-PBE.
Lines closer than 0.1° are merged.

Structure:
abc: 7.2895 7.2895 7.2895
angles: 90.00 90.00 90.00
Space group F-43m (No. 216)
Asymmetric unit:
1 Tc 0.0000 0.0000 0.0000 (multiplicity 4)
2 Mo 0.1239 0.1239 0.6239 (multiplicity 16)
3 P 0.2500 0.2500 0.2500 (multiplicity 4)

Peak list (10 most intense, 5° ≤ 2θ ≤ 70°, by angle)
d = 4.209 Å, I 27.9, hkl 1 1 1; d = 3.645 Å, I 6.5, hkl 2 0 0; d = 2.577 Å, I 16.2, hkl 2 2 0; d = 2.198 Å, I 100.0, hkl 3 1 1; d = 2.104 Å, I 53.9, hkl 2 2 2; d = 1.822 Å, I 10.9, hkl 4 0 0; d = 1.672 Å, I 6.7, hkl 3 3 1; d = 1.630 Å, I 2.0, hkl 4 2 0; d = 1.488 Å, I 5.6, hkl 4 2 2; d = 1.403 Å, I 30.7, hkl 5 1 1